(1)
Theoretical PXRD pattern of Li4MnVP3O12 for Cu Kα (λ = 1.5418 Å), from a DFT-relaxed cell (PBE+U, the Materials Project).
Intensities are scaled so that the largest is 100.

Main lines, in order of rising 2θ (2θ = 10–90°):
- (1 0 0), 6.269 Å, 2θ = 14.1°, I = 100
- (-1 1 1), 6.171 Å, 2θ = 14.4°, I = 34
- (0 1 1), 4.610 Å, 2θ = 19.3°, I = 92
- (1 1 0), 3.755 Å, 2θ = 23.7°, I = 72
- (2 -1 0), 3.737 Å, 2θ = 23.8°, I = 68
- (-1 2 1), 3.707 Å, 2θ = 24.0°, I = 63
- (0 2 -2), 3.134 Å, 2θ = 28.5°, I = 64
- (2 -1 1), 2.898 Å, 2θ = 30.9°, I = 53
- (1 1 -3), 2.891 Å, 2θ = 30.9°, I = 59
- (-1 2 2), 2.867 Å, 2θ = 31.2°, I = 54

Atomic structure:
```
data_Li4MnVP3O12
_space_group_name_H-M_alt 'P -1'
_space_group_IT_number 2
_cell_length_a 8.4397
_cell_length_b 8.4510
_cell_length_c 9.2452
_cell_angle_alpha 90.79
_cell_angle_beta 116.73
_cell_angle_gamma 119.24
loop_
_space_group_symop_operation_xyz
'x,y,z'
'-x,-y,-z'
loop_
_atom_site_label
_atom_site_fract_x
_atom_site_fract_y
_atom_site_fract_z
Li1 0.0628 0.3390 0.1463
Li2 0.1908 0.2695 0.8605
Li3 0.3258 0.7910 0.5872
Li4 0.3770 0.0675 0.1012
Mn1 0.3096 0.6488 0.9653
V1 0.2933 0.1502 0.4410
P1 0.2050 0.7578 0.2438
P2 0.2047 0.9531 0.7435
P3 0.4991 0.5441 0.7481
O1 0.0205 0.1580 0.2814
O2 0.0329 0.5459 0.1927
O3 0.1259 0.8831 0.2703
O4 0.1974 0.9907 0.5791
O5 0.2485 0.8039 0.0972
O6 0.2954 0.4309 0.1025
O7 0.3077 0.8361 0.7937
O8 0.3367 0.4971 0.8010
O9 0.3414 0.1415 0.8915
O10 0.3986 0.3900 0.5872
O11 0.4068 0.8125 0.4134
O12 0.4309 0.2579 0.2900
```

(2)
Theoretical PXRD pattern of V3O5 for Cu Kα (λ = 1.5418 Å), from a DFT-relaxed cell (PBE+U, the Materials Project).
Intensities are scaled so that the largest is 100.

Main lines, in order of rising 2θ (2θ = 10–90°):
- (0 0 2), 4.718 Å, 2θ = 18.8°, I = 53
- (2 0 0), 3.356 Å, 2θ = 26.6°, I = 74
- (2 1 -1), 2.931 Å, 2θ = 30.5°, I = 77
- (0 1 3), 2.690 Å, 2θ = 33.3°, I = 100
- (0 2 0), 2.595 Å, 2θ = 34.6°, I = 47
- (2 1 -3), 2.463 Å, 2θ = 36.5°, I = 57
- (0 1 5), 1.774 Å, 2θ = 51.5°, I = 44
- (2 2 2), 1.758 Å, 2θ = 52.0°, I = 55
- (4 1 -1), 1.662 Å, 2θ = 55.3°, I = 56
- (2 3 -3), 1.471 Å, 2θ = 63.2°, I = 43

Atomic structure:
```
data_V3O5
_space_group_name_H-M_alt 'P 1 2 1'
_space_group_IT_number 3
_cell_length_a 7.1067
_cell_length_b 5.1893
_cell_length_c 9.9896
_cell_angle_alpha 90.00
_cell_angle_beta 109.17
_cell_angle_gamma 90.00
loop_
_space_group_symop_operation_xyz
'x,y,z'
'-x,y,-z'
loop_
_atom_site_label
_atom_site_fract_x
_atom_site_fract_y
_atom_site_fract_z
V1 0.1587 0.0000 0.1282
V2 0.1595 0.4937 0.6277
V3 0.2485 0.9993 0.4988
V4 0.2486 0.4941 0.9988
V5 0.3398 0.4996 0.3695
V6 0.3408 0.9962 0.8689
O1 0.0000 0.1840 0.5000
O2 0.0000 0.3083 0.0000
O3 0.1139 0.6482 0.4201
O4 0.1163 0.8455 0.9208
O5 0.2240 0.3366 0.8139
O6 0.2263 0.1571 0.3137
O7 0.2838 0.6418 0.1988
O8 0.2860 0.8545 0.6985
O9 0.3904 0.3475 0.5787
O10 0.3907 0.1475 0.0789
O11 0.5000 0.7012 0.0000
O12 0.5000 0.7932 0.5000
```

(3)
Theoretical PXRD pattern of MgV4O8 for Cu Kα (λ = 1.5418 Å), from a DFT-relaxed cell (PBE+U, the Materials Project).
Intensities are scaled so that the largest is 100.

Main lines, in order of rising 2θ (2θ = 10–90°):
- (0 0 1), 6.368 Å, 2θ = 13.9°, I = 48
- (2 0 0), 5.908 Å, 2θ = 15.0°, I = 82
- (1 1 0), 3.787 Å, 2θ = 23.5°, I = 100
- (0 0 2), 3.184 Å, 2θ = 28.0°, I = 38
- (1 1 1), 3.139 Å, 2θ = 28.4°, I = 32
- (4 0 -1), 3.005 Å, 2θ = 29.7°, I = 47
- (0 0 3), 2.123 Å, 2θ = 42.6°, I = 57
- (6 0 -1), 2.042 Å, 2θ = 44.4°, I = 47
- (0 2 0), 1.999 Å, 2θ = 45.4°, I = 61
- (0 2 3), 1.455 Å, 2θ = 64.0°, I = 27

Atomic structure:
```
data_MgV4O8
_space_group_name_H-M_alt 'C 1 m 1'
_space_group_IT_number 8
_cell_length_a 12.2653
_cell_length_b 3.9980
_cell_length_c 6.6103
_cell_angle_alpha 90.00
_cell_angle_beta 105.55
_cell_angle_gamma 90.00
loop_
_space_group_symop_operation_xyz
'x,y,z'
'x,-y,z'
'x+1/2,y+1/2,z'
'x+1/2,-y+1/2,z'
loop_
_atom_site_label
_atom_site_fract_x
_atom_site_fract_y
_atom_site_fract_z
Mg1 0.0000 0.0000 0.0000
V1 0.0422 0.5000 0.3131
V2 0.1234 0.0000 0.6857
V3 0.2300 0.0000 0.2758
V4 0.4224 0.0000 0.6725
O1 0.0645 0.0000 0.3228
O2 0.0850 0.5000 0.6285
O3 0.1685 0.0000 0.9796
O4 0.1896 0.5000 0.2890
O5 0.2731 0.0000 0.6101
O6 0.3931 0.0000 0.3462
O7 0.4540 0.5000 0.6933
O8 0.4702 0.0000 0.9866
```

(4)
Theoretical PXRD pattern of FeCoO4 for Cu Kα (λ = 1.5418 Å), from a DFT-relaxed cell (PBE+U, the Materials Project).
Intensities are scaled so that the largest is 100.

Main lines, in order of rising 2θ (2θ = 10–90°):
- (1 1 0), 3.396 Å, 2θ = 26.2°, I = 100
- (1 1 -1), 2.837 Å, 2θ = 31.5°, I = 92
- (1 1 1), 2.742 Å, 2θ = 32.7°, I = 82
- (0 0 2), 2.442 Å, 2θ = 36.8°, I = 24
- (0 2 1), 2.386 Å, 2θ = 37.7°, I = 44
- (1 3 0), 1.680 Å, 2θ = 54.6°, I = 25
- (2 0 -2), 1.660 Å, 2θ = 55.4°, I = 22
- (2 2 -1), 1.622 Å, 2θ = 56.7°, I = 31
- (2 2 1), 1.586 Å, 2θ = 58.2°, I = 35
- (0 2 3), 1.399 Å, 2θ = 66.9°, I = 28

Atomic structure:
```
data_FeCoO4
_space_group_name_H-M_alt 'P 1 2/c 1'
_space_group_IT_number 13
_cell_length_a 4.3376
_cell_length_b 5.4690
_cell_length_c 4.8900
_cell_angle_alpha 90.00
_cell_angle_beta 92.67
_cell_angle_gamma 90.00
loop_
_space_group_symop_operation_xyz
'x,y,z'
'-x,-y,-z'
'-x,y,-z+1/2'
'x,-y,z+1/2'
loop_
_atom_site_label
_atom_site_fract_x
_atom_site_fract_y
_atom_site_fract_z
Fe1 0.0000 0.1551 0.2500
Co1 0.5000 0.3610 0.7500
O1 0.2438 0.1238 0.5900
O2 0.2750 0.3921 0.0702
```

(5)
Theoretical PXRD pattern of Ba5Nd8Mn4O21 for Cu Kα (λ = 1.5418 Å), from a DFT-relaxed cell (PBE+U, the Materials Project).
Intensities are scaled so that the largest is 100.

Main lines, in order of rising 2θ (2θ = 10–90°):
- (2 3 1), 3.317 Å, 2θ = 26.9°, I = 43
- (2 4 0), 3.222 Å, 2θ = 27.7°, I = 13
- (4 1 1), 3.013 Å, 2θ = 29.7°, I = 100
- (0 0 2), 2.974 Å, 2θ = 30.0°, I = 39
- (4 3 1), 2.593 Å, 2θ = 34.6°, I = 27
- (3 5 0), 2.471 Å, 2θ = 36.4°, I = 15
- (2 4 2), 2.185 Å, 2θ = 41.3°, I = 17
- (1 5 2), 2.048 Å, 2θ = 44.2°, I = 17
- (3 5 2), 1.900 Å, 2θ = 47.9°, I = 12
- (4 1 3), 1.724 Å, 2θ = 53.1°, I = 20

Atomic structure:
```
data_Ba5Nd8Mn4O21
_space_group_name_H-M_alt 'I 4/m'
_space_group_IT_number 87
_space_group_name_Hall '-I 4'
_cell_length_a 14.4076
_cell_length_b 14.4076
_cell_length_c 5.9477
_cell_angle_alpha 90.00
_cell_angle_beta 90.00
_cell_angle_gamma 90.00
loop_
_atom_site_label
_atom_site_fract_x
_atom_site_fract_y
_atom_site_fract_z
Ba1 0.0000 0.0000 0.0000
Ba2 0.0307 0.3643 0.5000
Nd1 0.0891 0.8570 0.5000
Nd2 0.1686 0.2472 0.0000
Mn1 0.0403 0.7479 0.0000
O1 0.0000 0.0000 0.5000
O2 0.0321 0.3771 0.0000
O3 0.0461 0.1790 0.2475
O4 0.1477 0.7409 0.2461
```

(6)
Theoretical PXRD pattern of LiMnO2 for Cu Kα (λ = 1.5418 Å), from a DFT-relaxed cell (PBE+U, the Materials Project).
Intensities are scaled so that the largest is 100.

Main lines, in order of rising 2θ (2θ = 10–90°):
- (1 0 1), 4.885 Å, 2θ = 18.2°, I = 98
- (1 0 -1), 4.860 Å, 2θ = 18.3°, I = 89
- (1 1 0), 4.244 Å, 2θ = 20.9°, I = 55
- (1 -1 0), 4.162 Å, 2θ = 21.3°, I = 52
- (1 -1 2), 2.977 Å, 2θ = 30.0°, I = 43
- (2 0 2), 2.445 Å, 2θ = 36.8°, I = 33
- (0 0 4), 2.130 Å, 2θ = 42.4°, I = 100
- (2 2 0), 2.122 Å, 2θ = 42.6°, I = 97
- (2 -2 0), 2.081 Å, 2θ = 43.5°, I = 92
- (0 4 0), 1.487 Å, 2θ = 62.5°, I = 51

Atomic structure:
```
data_LiMnO2
_space_group_name_H-M_alt 'P 1'
_space_group_IT_number 1
_cell_length_a 5.9414
_cell_length_b 5.9473
_cell_length_c 8.5209
_cell_angle_alpha 89.55
_cell_angle_beta 89.68
_cell_angle_gamma 88.88
loop_
_space_group_symop_operation_xyz
'x,y,z'
loop_
_atom_site_label
_atom_site_fract_x
_atom_site_fract_y
_atom_site_fract_z
Li1 0.0000 0.0000 0.0000
Li2 0.0011 0.0004 0.5005
Li3 0.2497 0.7523 0.2443
Li4 0.2508 0.2511 0.2464
Li5 0.5040 0.5018 0.5005
Li6 0.5047 0.5042 0.0001
Li7 0.7527 0.7537 0.7513
Li8 0.7566 0.2516 0.7546
Mn1 0.0014 0.5024 0.0014
Mn2 0.0027 0.5014 0.4971
Mn3 0.2551 0.7497 0.7496
Mn4 0.2591 0.2473 0.7526
Mn5 0.5031 0.0018 0.9999
Mn6 0.5051 0.9993 0.4991
Mn7 0.7473 0.7540 0.2501
Mn8 0.7490 0.2514 0.2499
O1 0.0097 0.4716 0.7566
O2 0.0166 0.5085 0.2414
O3 0.0430 0.0061 0.7514
O4 0.2338 0.7326 0.9823
O5 0.2660 0.2384 0.9824
O6 0.2663 0.2395 0.5208
O7 0.2684 0.7664 0.5165
O8 0.4693 0.4938 0.7500
O9 0.4797 0.9992 0.2296
O10 0.5063 0.0254 0.7664
O11 0.5377 0.5083 0.2510
O12 0.7364 0.7674 0.0002
O13 0.7372 0.2355 0.4848
O14 0.7402 0.7632 0.4992
O15 0.7707 0.2712 0.0151
O16 0.9614 0.9960 0.2493
```

(7)
Theoretical PXRD pattern of Li2MnPCO7 for Cu Kα (λ = 1.5418 Å), from a DFT-relaxed cell (PBE+U, the Materials Project).
Intensities are scaled so that the largest is 100.

Main lines, in order of rising 2θ (2θ = 10–90°):
- (0 0 1), 8.431 Å, 2θ = 10.5°, I = 100
- (0 1 -1), 5.164 Å, 2θ = 17.2°, I = 18
- (0 1 1), 5.092 Å, 2θ = 17.4°, I = 18
- (1 0 -1), 4.438 Å, 2θ = 20.0°, I = 39
- (1 0 1), 4.191 Å, 2θ = 21.2°, I = 60
- (1 -1 0), 3.961 Å, 2θ = 22.4°, I = 19
- (1 1 1), 3.501 Å, 2θ = 25.4°, I = 22
- (1 0 -2), 3.335 Å, 2θ = 26.7°, I = 36
- (0 2 0), 3.230 Å, 2θ = 27.6°, I = 100
- (2 0 -1), 2.447 Å, 2θ = 36.7°, I = 25

Atomic structure:
```
data_Li2MnPCO7
_space_group_name_H-M_alt 'P 1'
_space_group_IT_number 1
_cell_length_a 5.0243
_cell_length_b 6.4602
_cell_length_c 8.4499
_cell_angle_alpha 90.83
_cell_angle_beta 93.72
_cell_angle_gamma 90.08
loop_
_space_group_symop_operation_xyz
'x,y,z'
loop_
_atom_site_label
_atom_site_fract_x
_atom_site_fract_y
_atom_site_fract_z
Li1 0.0000 0.0000 0.0000
Li2 0.9999 0.4281 0.0015
Li3 0.0313 0.7027 0.6282
Li4 0.5101 0.9357 0.4688
Mn1 0.0653 0.2211 0.4119
Mn2 0.4488 0.7154 0.0726
P1 0.5224 0.2127 0.1529
P2 0.9740 0.7227 0.3206
C1 0.5464 0.7264 0.7804
C2 0.9815 0.2093 0.6958
O1 0.0457 0.5317 0.4195
O2 0.0908 0.7162 0.1527
O3 0.0970 0.9014 0.4265
O4 0.2239 0.2165 0.6544
O5 0.2966 0.7167 0.8058
O6 0.4134 0.4070 0.0634
O7 0.4138 0.0247 0.0501
O8 0.4153 0.2027 0.3204
O9 0.6434 0.7501 0.6477
O10 0.6713 0.7546 0.2900
O11 0.7143 0.7123 0.9109
O12 0.8000 0.2035 0.5732
O13 0.8331 0.2137 0.1711
O14 0.9121 0.2112 0.8370
```

(8)
Theoretical PXRD pattern of SrV4O10 for Cu Kα (λ = 1.5418 Å), from a DFT-relaxed cell (PBE+U, the Materials Project).
Intensities are scaled so that the largest is 100.

Main lines, in order of rising 2θ (2θ = 10–90°):
- (0 1 0), 5.876 Å, 2θ = 15.1°, I = 39
- (0 1 1), 5.075 Å, 2θ = 17.5°, I = 71
- (0 1 -2), 3.510 Å, 2θ = 25.4°, I = 39
- (1 1 1), 3.371 Å, 2θ = 26.4°, I = 100
- (0 0 3), 3.044 Å, 2θ = 29.3°, I = 80
- (1 0 2), 2.804 Å, 2θ = 31.9°, I = 41
- (-1 1 1), 2.637 Å, 2θ = 34.0°, I = 46
- (1 -1 1), 2.581 Å, 2θ = 34.8°, I = 36
- (2 1 0), 1.892 Å, 2θ = 48.1°, I = 49
- (0 3 -3), 1.607 Å, 2θ = 57.3°, I = 33

Atomic structure:
```
data_SrV4O10
_space_group_name_H-M_alt 'P 1'
_space_group_IT_number 1
_cell_length_a 3.7849
_cell_length_b 6.1806
_cell_length_c 9.1464
_cell_angle_alpha 86.88
_cell_angle_beta 89.98
_cell_angle_gamma 72.22
loop_
_space_group_symop_operation_xyz
'x,y,z'
loop_
_atom_site_label
_atom_site_fract_x
_atom_site_fract_y
_atom_site_fract_z
Sr1 0.0000 0.0000 0.0000
V1 0.1828 0.6373 0.3537
V2 0.3451 0.3062 0.6794
V3 0.4832 0.0357 0.3620
V4 0.6446 0.7092 0.6912
O1 0.0192 0.9633 0.3898
O2 0.1737 0.6505 0.6589
O3 0.1860 0.6329 0.1744
O4 0.3255 0.3491 0.4286
O5 0.3844 0.2268 0.8608
O6 0.4640 0.0749 0.1756
O7 0.5028 0.9927 0.6115
O8 0.6245 0.7497 0.8699
O9 0.6543 0.6932 0.3950
O10 0.8070 0.3829 0.6589
```